[1]
Starting from a DFT-relaxed cell (GGA-PBE, the Materials Project), the powder X-ray diffraction pattern of RbAsO4 was computed for Cu Kα (weighted mean of Kα1 and Kα2).

Most intense lines, 15° ≤ 2θ ≤ 90°, in order of rising 2θ:
two_theta	d_spacing	I/Imax
23.4	3.801	78
28.4	3.148	100
33.3	2.687	30
44.3	2.044	61
52.9	1.729	17
67.3	1.392	17

Atomic structure:
```
data_RbAsO4
_chemical_formula_sum 'Rb2 As2 O8'
_cell_length_a 6.6313
_cell_length_b 6.6313
_cell_length_c 6.6313
_cell_angle_alpha 110.06
_cell_angle_beta 110.06
_cell_angle_gamma 108.29
_symmetry_space_group_name_H-M 'P 1'
_symmetry_Int_Tables_number 1
loop_
_symmetry_equiv_pos_as_xyz
'x,y,z'
loop_
_atom_site_label
_atom_site_type_symbol
_atom_site_fract_x
_atom_site_fract_y
_atom_site_fract_z
Rb1 Rb 0.0000 0.0000 0.0000
Rb2 Rb 0.7500 0.2500 0.5000
As1 As 0.2500 0.7500 0.5000
As2 As 0.5000 0.5000 0.0000
O1 O 0.0137 0.4638 0.2438
O2 O 0.2138 0.2637 0.7438
O3 O 0.2200 0.7699 0.7562
O4 O 0.2301 0.9863 0.4501
O5 O 0.5199 0.4700 0.2562
O6 O 0.5300 0.7862 0.0499
O7 O 0.5362 0.7800 0.5499
O8 O 0.7363 0.4801 0.9501
```

[2]
Starting from a DFT-relaxed cell (GGA-PBE, the Materials Project), the powder X-ray diffraction pattern of NaMg14Fe was computed for Cu Kα (weighted mean of Kα1 and Kα2).

Most intense lines, 15° ≤ 2θ ≤ 90°, in order of rising 2θ:
two_theta	d_spacing	I/Imax
32.3	2.772	24
36.1	2.490	35
37.1	2.422	100
37.6	2.395	46
58.2	1.585	16
70.5	1.336	30

Atomic structure:
```
data_NaMg14Fe
_chemical_formula_sum 'Na1 Mg14 Fe1'
_cell_length_a 9.9600
_cell_length_b 6.3392
_cell_length_c 6.3392
_cell_angle_alpha 60.99
_cell_angle_beta 90.00
_cell_angle_gamma 90.00
_symmetry_space_group_name_H-M 'P 1'
_symmetry_Int_Tables_number 1
loop_
_symmetry_equiv_pos_as_xyz
'x,y,z'
loop_
_atom_site_label
_atom_site_type_symbol
_atom_site_fract_x
_atom_site_fract_y
_atom_site_fract_z
Na1 Na 0.0000 0.0000 0.0000
Mg1 Mg 0.0000 0.0048 0.4929
Mg2 Mg 0.0000 0.4929 0.0048
Mg3 Mg 0.2324 0.6584 0.6584
Mg4 Mg 0.2372 0.1832 0.6556
Mg5 Mg 0.2372 0.6556 0.1832
Mg6 Mg 0.2572 0.1676 0.1676
Mg7 Mg 0.5000 0.4986 0.4986
Mg8 Mg 0.5000 0.5041 0.9957
Mg9 Mg 0.5000 0.9957 0.5041
Mg10 Mg 0.5000 0.9959 0.9959
Mg11 Mg 0.7428 0.1676 0.1676
Mg12 Mg 0.7628 0.1832 0.6556
Mg13 Mg 0.7628 0.6556 0.1832
Mg14 Mg 0.7676 0.6584 0.6584
Fe1 Fe 0.0000 0.4938 0.4938
```